Theoretical XRD peak list of NdGd2Al3Cu2Ni for Cu Kα X-rays, from a structure optimized by DFT (GGA-PBE).

Peak list (10 most intense, 2θ from 10° to 90°, low angle first)
hkl 1 0 0, 2θ = 22.12°, intensity 37.2
hkl 0 0 2, 2θ = 25.01°, intensity 19.4
hkl 0 3 1, 2θ = 25.26°, intensity 37.0
hkl 0 2 2, 2θ = 29.06°, intensity 28.7
hkl 1 0 2, 2θ = 33.63°, intensity 53.1
hkl 1 3 1, 2θ = 33.82°, intensity 100.0
hkl 1 2 2, 2θ = 36.82°, intensity 95.4
hkl 1 4 0, 2θ = 37.05°, intensity 42.4
hkl 0 3 3, 2θ = 44.21°, intensity 20.0
hkl 2 0 0, 2θ = 45.13°, intensity 35.2

Cell and atoms:
```
data_NdGd2Al3Cu2Ni
_space_group_name_H-M_alt 'A m m 2'
_space_group_IT_number 38
_cell_length_a 4.018
_cell_length_b 12.175
_cell_length_c 7.120
_cell_angle_alpha 90.00
_cell_angle_beta 90.00
_cell_angle_gamma 90.00
loop_
_space_group_symop_operation_xyz
'x,y,z'
'-x,-y,z'
'-x,y,z'
'x,-y,z'
'x,y+1/2,z+1/2'
'-x,-y+1/2,z+1/2'
'-x,y+1/2,z+1/2'
'x,-y+1/2,z+1/2'
loop_
_atom_site_label
_atom_site_type_symbol
_atom_site_fract_x
_atom_site_fract_y
_atom_site_fract_z
_atom_site_occupancy
Nd1 Nd 0.000 0.000 0.000 1
Gd1 Gd 0.000 0.206 0.620 1
Al1 Al 0.500 0.000 0.639 1
Al2 Al 0.500 0.115 0.304 1
Cu1 Cu 0.500 0.170 0.913 1
Ni1 Ni 0.000 0.000 0.419 1
```

=====

Theoretical XRD peak list of La2DyMg3CdIn2 for Cu Kα X-rays, from a structure optimized by DFT (GGA-PBE).

Peak list (10 most intense, 2θ from 10° to 90°, low angle first)
hkl 0 0 2, 2θ = 22.85°, intensity 19.8
hkl 0 3 1, 2θ = 23.14°, intensity 25.2
hkl 0 2 2, 2θ = 26.55°, intensity 23.1
hkl 1 0 2, 2θ = 29.61°, intensity 30.8
hkl 1 3 1, 2θ = 29.84°, intensity 73.2
hkl 1 2 2, 2θ = 32.61°, intensity 100.0
hkl 1 4 0, 2θ = 32.89°, intensity 56.6
hkl 2 0 0, 2θ = 37.67°, intensity 41.2
hkl 0 3 3, 2θ = 40.30°, intensity 19.9
hkl 1 1 5, 2θ = 63.21°, intensity 24.7

Cell and atoms:
```
data_La2DyMg3CdIn2
_space_group_name_H-M_alt 'A m m 2'
_space_group_IT_number 38
_cell_length_a 4.776
_cell_length_b 13.261
_cell_length_c 7.785
_cell_angle_alpha 90.00
_cell_angle_beta 90.00
_cell_angle_gamma 90.00
loop_
_space_group_symop_operation_xyz
'x,y,z'
'-x,-y,z'
'-x,y,z'
'x,-y,z'
'x,y+1/2,z+1/2'
'-x,-y+1/2,z+1/2'
'-x,y+1/2,z+1/2'
'x,-y+1/2,z+1/2'
loop_
_atom_site_label
_atom_site_type_symbol
_atom_site_fract_x
_atom_site_fract_y
_atom_site_fract_z
_atom_site_occupancy
La1 La 0.000 0.211 0.000 1
Dy1 Dy 0.000 0.000 0.366 1
Mg1 Mg 0.500 0.000 0.025 1
Mg2 Mg 0.500 0.120 0.666 1
Cd1 Cd 0.000 0.000 0.778 1
In1 In 0.500 0.162 0.289 1
```

=====

Theoretical XRD peak list of ReAsW2 for Cu Kα X-rays, from a structure optimized by DFT (GGA-PBE).

Peak list (10 most intense, 2θ from 10° to 90°, low angle first)
hkl 1 1 1, 2θ = 24.43°, intensity 6.7
hkl 2 0 0, 2θ = 28.28°, intensity 3.7
hkl 2 2 0, 2θ = 40.42°, intensity 100.0
hkl 3 1 1, 2θ = 47.80°, intensity 3.5
hkl 4 0 0, 2θ = 58.49°, intensity 17.1
hkl 3 3 1, 2θ = 64.34°, intensity 1.5
hkl 4 2 0, 2θ = 66.22°, intensity 1.4
hkl 4 2 2, 2θ = 73.51°, intensity 34.9
hkl 5 1 1, 2θ = 78.79°, intensity 1.1
hkl 4 4 0, 2θ = 87.41°, intensity 11.5

Cell and atoms:
```
data_ReAsW2
_space_group_name_H-M_alt 'F -4 3 m'
_space_group_IT_number 216
_space_group_name_Hall 'F -4 2 3'
_cell_length_a 6.312
_cell_length_b 6.312
_cell_length_c 6.312
_cell_angle_alpha 90.00
_cell_angle_beta 90.00
_cell_angle_gamma 90.00
loop_
_atom_site_label
_atom_site_type_symbol
_atom_site_fract_x
_atom_site_fract_y
_atom_site_fract_z
_atom_site_occupancy
Re1 Re 0.000 0.000 0.000 1
As1 As 0.250 0.250 0.750 1
W1 W 0.000 0.000 0.500 1
W2 W 0.250 0.250 0.250 1
```

=====

Theoretical XRD peak list of GaHg2 for Cu Kα X-rays, from a structure optimized by DFT (GGA-PBE).

Peak list (10 most intense, 2θ from 10° to 90°, low angle first)
hkl 1 1 1, 2θ = 17.99°, intensity 55.8
hkl 3 1 1, 2θ = 34.83°, intensity 100.0
hkl 2 2 2, 2θ = 36.43°, intensity 74.6
hkl 4 0 0, 2θ = 42.32°, intensity 24.9
hkl 3 3 1, 2θ = 46.33°, intensity 16.0
hkl 5 1 1, 2θ = 55.93°, intensity 34.6
hkl 4 4 0, 2θ = 61.39°, intensity 34.8
hkl 5 3 1, 2θ = 64.54°, intensity 12.3
hkl 6 2 2, 2θ = 73.54°, intensity 30.1
hkl 7 3 1, 2θ = 87.76°, intensity 23.1

Cell and atoms:
Cell lengths 8.543, 8.543, 8.543 Å; angles 90.00, 90.00, 90.00 degrees
Space group Fd-3m (No. 227, origin choice 2)
Symmetry-distinct sites (fractional):
Ga 0.125 0.125 0.125 x8
Hg 0.000 0.000 0.500 x16

=====

Theoretical XRD peak list of TbInI6 for Cu Kα X-rays, from a structure optimized by DFT (GGA-PBE).

Peak list (10 most intense, 2θ from 10° to 90°, low angle first)
hkl 0 0 1, 2θ = 11.95°, intensity 43.4
hkl 1 1 0, 2θ = 13.96°, intensity 19.5
hkl 0 0 2, 2θ = 24.04°, intensity 16.4
hkl 1 3 -1, 2θ = 24.68°, intensity 44.9
hkl 1 3 1, 2θ = 28.32°, intensity 100.0
hkl 2 0 -2, 2θ = 28.52°, intensity 49.1
hkl 2 0 2, 2θ = 40.01°, intensity 18.8
hkl 1 3 -3, 2θ = 40.25°, intensity 37.4
hkl 0 6 0, 2θ = 40.99°, intensity 51.7
hkl 2 6 -2, 2θ = 50.67°, intensity 17.9

Cell and atoms:
```
data_TbInI6
_space_group_name_H-M_alt 'C 1 2 1'
_space_group_IT_number 5
_cell_length_a 7.622
_cell_length_b 13.221
_cell_length_c 7.808
_cell_angle_alpha 90.00
_cell_angle_beta 108.49
_cell_angle_gamma 90.00
loop_
_space_group_symop_operation_xyz
'x,y,z'
'-x,y,-z'
'x+1/2,y+1/2,z'
'-x+1/2,y+1/2,-z'
loop_
_atom_site_label
_atom_site_type_symbol
_atom_site_fract_x
_atom_site_fract_y
_atom_site_fract_z
_atom_site_occupancy
Tb1 Tb 0.000 0.000 0.000 1
In1 In 0.000 0.332 0.000 1
I1 I 0.219 0.170 0.238 1
I2 I 0.241 0.341 0.767 1
I3 I 0.247 0.486 0.235 1
```

=====

Theoretical XRD peak list of Tb16B4Br23 for Cu Kα X-rays, from a structure optimized by DFT (GGA-PBE).

Peak list (10 most intense, 2θ from 10° to 90°, low angle first)
hkl 1 1 -1, 2θ = 10.79°, intensity 20.6
hkl 2 0 -1, 2θ = 11.09°, intensity 19.2
hkl 1 1 1, 2θ = 12.42°, intensity 13.0
hkl 6 0 0, 2θ = 31.03°, intensity 48.3
hkl 1 3 -3, 2θ = 31.18°, intensity 100.0
hkl 5 3 -1, 2θ = 33.46°, intensity 10.9
hkl 7 3 -3, 2θ = 44.23°, intensity 31.2
hkl 2 0 -6, 2θ = 44.68°, intensity 31.3
hkl 5 3 3, 2θ = 44.90°, intensity 30.8
hkl 6 6 0, 2θ = 55.39°, intensity 13.8

Cell and atoms:
```
data_Tb16B4Br23
_space_group_name_H-M_alt 'C 1 2/m 1'
_space_group_IT_number 12
_cell_length_a 17.846
_cell_length_b 12.168
_cell_length_c 12.174
_cell_angle_alpha 90.00
_cell_angle_beta 104.30
_cell_angle_gamma 90.00
loop_
_space_group_symop_operation_xyz
'x,y,z'
'-x,-y,-z'
'-x,y,-z'
'x,-y,z'
'x+1/2,y+1/2,z'
'-x+1/2,-y+1/2,-z'
'-x+1/2,y+1/2,-z'
'x+1/2,-y+1/2,z'
loop_
_atom_site_label
_atom_site_type_symbol
_atom_site_fract_x
_atom_site_fract_y
_atom_site_fract_z
_atom_site_occupancy
Tb1 Tb 0.002 0.193 0.350 1
Tb2 Tb 0.006 0.500 0.648 1
Tb3 Tb 0.148 0.351 0.562 1
Tb4 Tb 0.162 0.353 0.870 1
Tb5 Tb 0.189 0.000 0.228 1
B1 B 0.000 0.331 0.500 1
B2 B 0.166 0.500 0.726 1
Br1 Br 0.000 0.000 0.500 1
Br2 Br 0.003 0.335 0.166 1
Br3 Br 0.015 0.000 0.194 1
Br4 Br 0.162 0.165 0.723 1
Br5 Br 0.164 0.500 0.049 1
Br6 Br 0.167 0.500 0.386 1
Br7 Br 0.171 0.170 0.059 1
Br8 Br 0.172 0.169 0.395 1
```